Record 1
This entry pairs a crystal structure of Sr2SnI2O2 with its calculated X-ray powder pattern. Radiation: λ = 1.5418 Å (Cu Kα). Structure: a DFT-relaxed cell (PBE, Alexandria).
Peak positions follow from Bragg's law for the DFT cell and can differ from measured ones.

Main lines, in order of rising 2θ (5 to 70 degrees two-theta):
2θ = 9.2°, I 11; 2θ = 28.0°, I 72; 2θ = 30.5°, I 100; 2θ = 38.4°, I 16; 2θ = 40.0°, I 35; 2θ = 51.1°, I 47; 2θ = 56.6°, I 10; 2θ = 57.8°, I 12; 2θ = 65.4°, I 15; 2θ = 66.8°, I 11

Structural model:
Unit cell a=10.1309 b=10.1309 c=10.1309 alpha=154.28 beta=154.28 gamma=36.69
Atoms (fractional coordinates):
Sr 0.0890 0.0890 0.0000
Sr 0.9110 0.9110 0.0000
Sn 0.5000 0.5000 0.0000
I 0.3224 0.3224 0.0000
I 0.6776 0.6776 0.0000
O 0.0000 0.5000 0.5000
O 0.5000 0.0000 0.5000


Record 2
This entry pairs a crystal structure of Pa7Fe3 with its calculated X-ray powder pattern. Radiation: λ = 1.5418 Å (Cu Kα). Structure: a DFT-relaxed cell (PBE, Alexandria).
Peak positions follow from Bragg's law for the DFT cell and can differ from measured ones.

Main lines, in order of rising 2θ (5 to 70 degrees two-theta):
2θ = 27.2°, I 14; 2θ = 29.7°, I 27; 2θ = 33.2°, I 47; 2θ = 33.6°, I 100; 2θ = 37.3°, I 44; 2θ = 38.7°, I 36; 2θ = 39.2°, I 25; 2θ = 59.5°, I 20; 2θ = 60.0°, I 33; 2θ = 60.3°, I 38

Structural model:
Unit cell a=9.2029 b=9.2029 c=5.7396 alpha=90.00 beta=90.00 gamma=120.00
Atoms (fractional coordinates):
Pa 0.0874 0.5437 0.0000
Pa 0.1269 0.2539 0.7222
Pa 0.1269 0.8731 0.7222
Pa 0.2539 0.1269 0.2222
Pa 0.3333 0.6667 0.5266
Pa 0.4563 0.5437 0.0000
Pa 0.4563 0.9126 0.0000
Pa 0.5437 0.0874 0.5000
Pa 0.5437 0.4563 0.5000
Pa 0.6667 0.3333 0.0266
Pa 0.7461 0.8731 0.7222
Pa 0.8731 0.1269 0.2222
Pa 0.8731 0.7461 0.2222
Pa 0.9126 0.4563 0.5000
Fe 0.1790 0.3579 0.2511
Fe 0.1790 0.8210 0.2511
Fe 0.3579 0.1790 0.7511
Fe 0.6421 0.8210 0.2511
Fe 0.8210 0.1790 0.7511
Fe 0.8210 0.6421 0.7511


Record 3
This entry pairs a crystal structure of Ba2AuI6 with its calculated X-ray powder pattern. Radiation: λ = 1.5418 Å (Cu Kα). Structure: a DFT-relaxed cell (PBE, Alexandria).
Peak positions follow from Bragg's law for the DFT cell and can differ from measured ones.

Main lines, in order of rising 2θ (5 to 70 degrees two-theta):
2θ = 12.6°, I 17; 2θ = 15.7°, I 100; 2θ = 24.1°, I 75; 2θ = 24.9°, I 48; 2θ = 31.0°, I 94; 2θ = 31.7°, I 38; 2θ = 38.5°, I 74; 2θ = 48.3°, I 20; 2θ = 49.4°, I 17; 2θ = 65.8°, I 20

Structural model:
Unit cell a=7.9920 b=7.9920 c=14.6003 alpha=90.00 beta=90.00 gamma=90.00
Atoms (fractional coordinates):
Ba 0.0000 0.0000 0.1645
Ba 0.0000 0.0000 0.8355
Ba 0.5000 0.5000 0.3355
Ba 0.5000 0.5000 0.6645
Au 0.0000 0.0000 0.5000
Au 0.5000 0.5000 0.0000
I 0.1772 0.1772 0.3615
I 0.1772 0.1772 0.6385
I 0.2057 0.2057 0.0000
I 0.2943 0.7057 0.5000
I 0.3228 0.6772 0.1385
I 0.3228 0.6772 0.8615
I 0.6772 0.3228 0.1385
I 0.6772 0.3228 0.8615
I 0.7057 0.2943 0.5000
I 0.7943 0.7943 0.0000
I 0.8228 0.8228 0.3615
I 0.8228 0.8228 0.6385


Record 4
This entry pairs a crystal structure of AlZn2CuTe with its calculated X-ray powder pattern. Radiation: λ = 1.5418 Å (Cu Kα). Structure: a DFT-relaxed cell (PBE, Alexandria).
Peak positions follow from Bragg's law for the DFT cell and can differ from measured ones.

Main lines, in order of rising 2θ (5 to 70 degrees two-theta):
2θ = 26.6°, I 95; 2θ = 32.8°, I 100; 2θ = 37.4°, I 46; 2θ = 38.4°, I 85; 2θ = 47.3°, I 39; 2θ = 54.7°, I 59; 2θ = 55.5°, I 28; 2θ = 64.6°, I 14; 2θ = 66.0°, I 26; 2θ = 68.8°, I 28

Structural model:
Unit cell a=4.6854 b=4.6854 c=4.8076 alpha=90.00 beta=90.00 gamma=90.00
Atoms (fractional coordinates):
Al 0.0000 0.0000 0.0000
Zn 0.0000 0.5000 0.5000
Zn 0.5000 0.0000 0.5000
Cu 0.0000 0.0000 0.5000
Te 0.5000 0.5000 0.0000


Record 5
This entry pairs a crystal structure of Sm6Au5 with its calculated X-ray powder pattern. Radiation: λ = 1.5418 Å (Cu Kα). Structure: a DFT-relaxed cell (PBE, Alexandria).
Peak positions follow from Bragg's law for the DFT cell and can differ from measured ones.

Main lines, in order of rising 2θ (5 to 70 degrees two-theta):
2θ = 11.4°, I 2; 2θ = 13.4°, I 4; 2θ = 21.1°, I 3; 2θ = 24.0°, I 3; 2θ = 34.7°, I 100; 2θ = 34.8°, I 20; 2θ = 49.7°, I 7; 2θ = 50.0°, I 14; 2θ = 62.1°, I 15; 2θ = 62.3°, I 29

Structural model:
Unit cell a=8.9345 b=8.9345 c=8.9345 alpha=146.44 beta=131.54 gamma=60.24
Atoms (fractional coordinates):
Sm 0.0840 0.3344 0.7496
Sm 0.2485 0.0000 0.2485
Sm 0.4153 0.6656 0.7496
Sm 0.5847 0.3344 0.2504
Sm 0.7515 0.0000 0.7515
Sm 0.9160 0.6656 0.2504
Au 0.0000 0.5000 0.5000
Au 0.1694 0.1694 0.0000
Au 0.3398 0.8398 0.5000
Au 0.6602 0.1602 0.5000
Au 0.8306 0.8306 0.0000